Li2VH2OF5: calculated powder diffractogram (Cu Kα X-rays), based on a crystal structure in Alexandria, relaxed with PBE+U.
Lines closer than 0.1° are merged.

Top 12 peaks for 2θ = 15–90°, sorted by position:
hkl	two_theta	intensity
0 1 1	19.25	510
1 1 0	19.57	686
0 1 -1	20.00	833
1 0 1	20.48	1000
1 0 -1	21.34	940
0 0 2	22.68	376
1 -1 0	27.49	437
1 1 -2	31.22	464
0 2 0	32.33	654
1 0 -3	39.52	527
1 -2 1	43.76	416
2 2 2	44.67	363

Cell and atoms:
Cell: 5.352 5.864 7.863 Å, 86.67 86.50 70.93°
Sites, in units of the cell vectors:
Li 0.175 0.276 0.040
Li 0.250 0.197 0.431
Li 0.750 0.803 0.569
Li 0.825 0.724 0.960
V 0.298 0.736 0.251
V 0.702 0.264 0.749
H 0.315 0.669 0.638
H 0.407 0.711 0.822
H 0.593 0.289 0.178
H 0.685 0.331 0.362
O 0.470 0.634 0.712
O 0.530 0.366 0.288
F 0.063 0.608 0.134
F 0.097 0.092 0.225
F 0.116 0.699 0.470
F 0.464 0.152 0.628
F 0.470 0.765 0.027
F 0.530 0.235 0.973
F 0.536 0.848 0.372
F 0.884 0.301 0.530
F 0.903 0.908 0.775
F 0.937 0.392 0.866